# 1
For TePb3Br4, DFT lattice parameters and positions (GGA-PBE) gives the computed powder diffraction line list in this record (a wavelength of 1.5418 Å).

Cell and atoms:
```
data_TePb3Br4
_cell_length_a 8.7882
_cell_length_b 8.7882
_cell_length_c 11.1065
_cell_angle_alpha 108.94
_cell_angle_beta 108.94
_cell_angle_gamma 52.63
_symmetry_space_group_name_H-M 'P 1'
_symmetry_Int_Tables_number 1
_symmetry_space_group_name_Hall 'P 1'
loop_
_atom_site_label
_atom_site_type_symbol
_atom_site_fract_x
_atom_site_fract_y
_atom_site_fract_z
Te1 Te 0.1843 0.8157 0.5000
Te2 Te 0.8157 0.1843 0.0000
Pb1 Pb 0.1787 0.1913 0.0990
Pb2 Pb 0.1913 0.1787 0.5990
Pb3 Pb 0.5590 0.5725 0.3950
Pb4 Pb 0.5725 0.5590 0.8950
Pb5 Pb 0.8186 0.8360 0.8276
Pb6 Pb 0.8360 0.8186 0.3276
Br1 Br 0.0304 0.3846 0.3582
Br2 Br 0.2285 0.5455 0.7800
Br3 Br 0.3846 0.0304 0.8582
Br4 Br 0.4298 0.7788 0.1529
Br5 Br 0.5455 0.2285 0.2800
Br6 Br 0.6238 0.9309 0.5499
Br7 Br 0.7788 0.4298 0.6529
Br8 Br 0.9309 0.6238 0.0499
```

Main lines, in order of falling intensity (2θ from 10° to 90°):
33.45°, intensity 100
21.44°, intensity 100
40.31°, intensity 88
34.78°, intensity 83
17.01°, intensity 73
19.63°, intensity 64

***

# 2
For Te2PbBr8, DFT lattice parameters and positions (GGA-PBE) gives the computed powder diffraction line list in this record (a wavelength of 1.5418 Å).

Cell and atoms:
```
data_Te2PbBr8
_cell_length_a 9.1528
_cell_length_b 9.1528
_cell_length_c 5.9398
_cell_angle_alpha 90.00
_cell_angle_beta 90.00
_cell_angle_gamma 120.00
_symmetry_space_group_name_H-M 'P 1'
_symmetry_Int_Tables_number 1
_symmetry_space_group_name_Hall 'P 1'
loop_
_atom_site_label
_atom_site_type_symbol
_atom_site_fract_x
_atom_site_fract_y
_atom_site_fract_z
Te1 Te 0.3333 0.6667 0.2344
Te2 Te 0.6667 0.3333 0.7656
Pb1 Pb 0.0000 0.0000 0.0000
Br1 Br 0.1629 0.8354 0.2694
Br2 Br 0.1646 0.3275 0.2694
Br3 Br 0.3275 0.1629 0.7306
Br4 Br 0.3333 0.6667 0.7393
Br5 Br 0.6667 0.3333 0.2607
Br6 Br 0.6725 0.8371 0.2694
Br7 Br 0.8354 0.6725 0.7306
Br8 Br 0.8371 0.1646 0.7306
```

Main lines, in order of falling intensity (2θ from 10° to 90°):
19.40°, intensity 100
39.38°, intensity 99
18.67°, intensity 83
37.85°, intensity 80
27.05°, intensity 78
33.50°, intensity 44

***

# 3
For TlPbBr, DFT lattice parameters and positions (GGA-PBE) gives the computed powder diffraction line list in this record (a wavelength of 1.5418 Å).

Cell and atoms:
```
data_TlPbBr
_cell_length_a 3.7267
_cell_length_b 5.6007
_cell_length_c 10.2049
_cell_angle_alpha 74.09
_cell_angle_beta 82.31
_cell_angle_gamma 89.90
_symmetry_space_group_name_H-M 'P 1'
_symmetry_Int_Tables_number 1
_symmetry_space_group_name_Hall 'P 1'
loop_
_atom_site_label
_atom_site_type_symbol
_atom_site_fract_x
_atom_site_fract_y
_atom_site_fract_z
Tl1 Tl 0.0000 0.0000 0.0000
Tl2 Tl 0.4121 0.3319 0.3359
Pb1 Pb 0.0794 0.6596 0.6791
Pb2 Pb 0.5232 0.5174 0.9654
Br1 Br 0.7989 0.1831 0.6326
Br2 Br 0.9177 0.8406 0.3188
```

Main lines, in order of falling intensity (2θ from 10° to 90°):
27.53°, intensity 100
29.88°, intensity 80
31.96°, intensity 77
35.00°, intensity 77
42.68°, intensity 62
28.80°, intensity 43

***

# 4
For Tl2PbBr, DFT lattice parameters and positions (GGA-PBE) gives the computed powder diffraction line list in this record (a wavelength of 1.5418 Å).

Cell and atoms:
```
data_Tl2PbBr
_cell_length_a 3.6690
_cell_length_b 5.3553
_cell_length_c 6.4824
_cell_angle_alpha 90.00
_cell_angle_beta 90.93
_cell_angle_gamma 90.00
_symmetry_space_group_name_H-M 'P 1'
_symmetry_Int_Tables_number 1
_symmetry_space_group_name_Hall 'P 1'
loop_
_atom_site_label
_atom_site_type_symbol
_atom_site_fract_x
_atom_site_fract_y
_atom_site_fract_z
Tl1 Tl 0.0507 0.0000 0.2525
Tl2 Tl 0.9493 0.0000 0.7475
Pb1 Pb 0.5000 0.5000 0.0000
Br1 Br 0.5000 0.5000 0.5000
```

Main lines, in order of falling intensity (2θ from 10° to 90°):
29.51°, intensity 100
32.29°, intensity 84
33.47°, intensity 38
36.70°, intensity 29
37.32°, intensity 27
50.51°, intensity 23

***

# 5
For Tl2Pb5Br12, DFT lattice parameters and positions (GGA-PBE) gives the computed powder diffraction line list in this record (a wavelength of 1.5418 Å).

Cell and atoms:
```
data_Tl2Pb5Br12
_cell_length_a 9.1483
_cell_length_b 9.1483
_cell_length_c 11.2938
_cell_angle_alpha 104.15
_cell_angle_beta 104.15
_cell_angle_gamma 53.22
_symmetry_space_group_name_H-M 'P 1'
_symmetry_Int_Tables_number 1
_symmetry_space_group_name_Hall 'P 1'
loop_
_atom_site_label
_atom_site_type_symbol
_atom_site_fract_x
_atom_site_fract_y
_atom_site_fract_z
Tl1 Tl 0.2102 0.7898 0.0000
Tl2 Tl 0.7898 0.2102 0.0000
Pb1 Pb 0.0000 0.0000 0.5000
Pb2 Pb 0.2998 0.2998 0.6714
Pb3 Pb 0.3382 0.3382 0.2674
Pb4 Pb 0.6618 0.6618 0.7326
Pb5 Pb 0.7002 0.7002 0.3286
Br1 Br 0.0404 0.5478 0.8528
Br2 Br 0.0496 0.0496 0.7744
Br3 Br 0.1203 0.6001 0.4787
Br4 Br 0.3999 0.8797 0.5213
Br5 Br 0.4522 0.9596 0.1472
Br6 Br 0.4893 0.4893 0.7918
Br7 Br 0.5107 0.5107 0.2082
Br8 Br 0.5478 0.0404 0.8528
Br9 Br 0.6001 0.1203 0.4787
Br10 Br 0.8797 0.3999 0.5213
Br11 Br 0.9504 0.9504 0.2256
Br12 Br 0.9596 0.4522 0.1472
```

Main lines, in order of falling intensity (2θ from 10° to 90°):
20.10°, intensity 100
37.19°, intensity 87
27.26°, intensity 84
19.12°, intensity 72
34.19°, intensity 58
17.11°, intensity 51

***

# 6
For Tl4PbBr6, DFT lattice parameters and positions (GGA-PBE) gives the computed powder diffraction line list in this record (a wavelength of 1.5418 Å).

Cell and atoms:
```
data_Tl4PbBr6
_cell_length_a 9.3477
_cell_length_b 9.3477
_cell_length_c 9.3477
_cell_angle_alpha 90.14
_cell_angle_beta 90.14
_cell_angle_gamma 90.14
_symmetry_space_group_name_H-M 'P 1'
_symmetry_Int_Tables_number 1
_symmetry_space_group_name_Hall 'P 1'
loop_
_atom_site_label
_atom_site_type_symbol
_atom_site_fract_x
_atom_site_fract_y
_atom_site_fract_z
Tl1 Tl 0.1204 0.7500 0.3796
Tl2 Tl 0.2500 0.2500 0.2500
Tl3 Tl 0.2500 0.6204 0.8796
Tl4 Tl 0.3796 0.1204 0.7500
Tl5 Tl 0.6204 0.8796 0.2500
Tl6 Tl 0.7500 0.3796 0.1204
Tl7 Tl 0.7500 0.7500 0.7500
Tl8 Tl 0.8796 0.2500 0.6204
Pb1 Pb 0.0000 0.0000 0.0000
Pb2 Pb 0.5000 0.5000 0.5000
Br1 Br 0.0574 0.9278 0.6895
Br2 Br 0.0722 0.3105 0.9426
Br3 Br 0.1895 0.4278 0.5574
Br4 Br 0.3105 0.9426 0.0722
Br5 Br 0.4278 0.5574 0.1895
Br6 Br 0.4426 0.8105 0.5722
Br7 Br 0.5574 0.1895 0.4278
Br8 Br 0.5722 0.4426 0.8105
Br9 Br 0.6895 0.0574 0.9278
Br10 Br 0.8105 0.5722 0.4426
Br11 Br 0.9278 0.6895 0.0574
Br12 Br 0.9426 0.0722 0.3105
```

Main lines, in order of falling intensity (2θ from 10° to 90°):
23.28°, intensity 100
30.25°, intensity 87
31.74°, intensity 85
40.94°, intensity 64
21.27°, intensity 49
28.62°, intensity 45

***

# 7
For Tl2PbBr5, DFT lattice parameters and positions (GGA-PBE) gives the computed powder diffraction line list in this record (a wavelength of 1.5418 Å).

Cell and atoms:
```
data_Tl2PbBr5
_cell_length_a 10.5048
_cell_length_b 8.8226
_cell_length_c 7.0572
_cell_angle_alpha 82.02
_cell_angle_beta 56.28
_cell_angle_gamma 41.71
_symmetry_space_group_name_H-M 'P 1'
_symmetry_Int_Tables_number 1
_symmetry_space_group_name_Hall 'P 1'
loop_
_atom_site_label
_atom_site_type_symbol
_atom_site_fract_x
_atom_site_fract_y
_atom_site_fract_z
Tl1 Tl 0.1888 0.1888 0.8112
Tl2 Tl 0.8112 0.8112 0.1888
Pb1 Pb 0.5000 0.5000 0.5000
Br1 Br 0.0000 0.0000 0.0000
Br2 Br 0.2225 0.5124 0.4876
Br3 Br 0.4876 0.7775 0.2225
Br4 Br 0.5124 0.2225 0.7775
Br5 Br 0.7775 0.4876 0.5124
```

Main lines, in order of falling intensity (2θ from 10° to 90°):
30.44°, intensity 100
13.80°, intensity 73
35.30°, intensity 27
23.11°, intensity 26
47.26°, intensity 24
33.53°, intensity 18

***

# 8
For Tl3PbBr5, DFT lattice parameters and positions (GGA-PBE) gives the computed powder diffraction line list in this record (a wavelength of 1.5418 Å).

Cell and atoms:
```
data_Tl3PbBr5
_cell_length_a 8.9798
_cell_length_b 8.9798
_cell_length_c 15.5838
_cell_angle_alpha 90.00
_cell_angle_beta 90.00
_cell_angle_gamma 90.00
_symmetry_space_group_name_H-M 'P 1'
_symmetry_Int_Tables_number 1
_symmetry_space_group_name_Hall 'P 1'
loop_
_atom_site_label
_atom_site_type_symbol
_atom_site_fract_x
_atom_site_fract_y
_atom_site_fract_z
Tl1 Tl 0.0053 0.1866 0.0000
Tl2 Tl 0.1150 0.3176 0.5778
Tl3 Tl 0.1725 0.3602 0.2663
Tl4 Tl 0.1866 0.9947 0.7500
Tl5 Tl 0.3176 0.8850 0.3278
Tl6 Tl 0.3602 0.8275 0.0163
Tl7 Tl 0.6398 0.1725 0.5163
Tl8 Tl 0.6824 0.1150 0.8278
Tl9 Tl 0.8134 0.0053 0.2500
Tl10 Tl 0.8275 0.6398 0.7663
Tl11 Tl 0.8850 0.6824 0.0778
Tl12 Tl 0.9947 0.8134 0.5000
Pb1 Pb 0.3094 0.4786 0.8448
Pb2 Pb 0.4786 0.6906 0.5948
Pb3 Pb 0.5214 0.3094 0.0948
Pb4 Pb 0.6906 0.5214 0.3448
Br1 Br 0.0196 0.3301 0.7975
Br2 Br 0.0239 0.8302 0.9036
Br3 Br 0.1698 0.0239 0.1536
Br4 Br 0.1738 0.6469 0.6702
Br5 Br 0.2010 0.4939 0.0470
Br6 Br 0.3301 0.9804 0.5475
Br7 Br 0.3531 0.1738 0.9202
Br8 Br 0.3618 0.5138 0.4513
Br9 Br 0.4862 0.3618 0.7013
Br10 Br 0.4939 0.7990 0.7970
Br11 Br 0.5061 0.2010 0.2970
Br12 Br 0.5138 0.6382 0.2013
Br13 Br 0.6382 0.4862 0.9513
Br14 Br 0.6469 0.8262 0.4202
Br15 Br 0.6699 0.0196 0.0475
Br16 Br 0.7990 0.5061 0.5470
Br17 Br 0.8262 0.3531 0.1702
Br18 Br 0.8302 0.9761 0.6536
Br19 Br 0.9761 0.1698 0.4036
Br20 Br 0.9804 0.6699 0.2975
```

Main lines, in order of falling intensity (2θ from 10° to 90°):
32.01°, intensity 100
28.09°, intensity 56
22.86°, intensity 34
45.13°, intensity 27
22.13°, intensity 25
43.10°, intensity 23